Structure and computed powder diffraction line list of Al2P3S9 (a DFT-relaxed cell (PBE, the Materials Project); a wavelength of 1.5418 Å).
Intensities are scaled so that the largest is 100.

Cell and atoms:
a b c (Å): 10.277 10.277 7.262
angles (deg): 103.51 103.51 59.98
Fractional positions:
1 Al 0.000 0.000 0.000
2 Al 0.304 0.348 0.999
3 Al 0.651 0.349 0.000
4 Al 0.652 0.696 0.001
5 P 0.305 0.669 0.844
6 P 0.331 0.695 0.156
7 P 0.626 0.002 0.844
8 P 0.677 0.028 0.155
9 P 0.972 0.323 0.845
10 P 0.998 0.374 0.156
11 S 0.059 0.096 0.771
12 S 0.074 0.420 0.763
13 S 0.079 0.772 0.762
14 S 0.225 0.277 0.237
15 S 0.228 0.921 0.238
16 S 0.245 0.578 0.229
17 S 0.400 0.118 0.769
18 S 0.403 0.430 0.785
19 S 0.422 0.755 0.771
20 S 0.555 0.266 0.214
21 S 0.570 0.597 0.215
22 S 0.580 0.926 0.237
23 S 0.723 0.775 0.763
24 S 0.734 0.445 0.786
25 S 0.747 0.100 0.785
26 S 0.882 0.600 0.231
27 S 0.900 0.253 0.215
28 S 0.904 0.941 0.229

The 6 most intense peaks (15 to 90 degrees two-theta), sorted by position:
17.76 deg, rel. 17; 25.48 deg, rel. 44; 30.43 deg, rel. 18; 31.34 deg, rel. 28; 34.75 deg, rel. 100; 53.50 deg, rel. 46



Structure and computed powder diffraction line list of AlSiP3 (a DFT-relaxed cell (PBE, the Materials Project); a wavelength of 1.5418 Å).
Intensities are scaled so that the largest is 100.

Cell and atoms:
a b c (Å): 5.900 9.906 6.143
angles (deg): 90.00 90.00 90.00
Fractional positions:
1 Al 0.000 0.000 0.000
2 Al 0.000 0.500 0.000
3 Al 0.500 0.000 0.500
4 Al 0.500 0.500 0.500
5 Si 0.000 0.250 0.437
6 Si 0.000 0.750 0.563
7 Si 0.500 0.250 0.063
8 Si 0.500 0.750 0.937
9 P 0.110 0.058 0.607
10 P 0.110 0.442 0.607
11 P 0.113 0.250 0.086
12 P 0.387 0.750 0.586
13 P 0.390 0.558 0.107
14 P 0.390 0.942 0.107
15 P 0.610 0.058 0.893
16 P 0.610 0.442 0.893
17 P 0.613 0.250 0.414
18 P 0.887 0.750 0.914
19 P 0.890 0.558 0.393
20 P 0.890 0.942 0.393

The 6 most intense peaks (15 to 90 degrees two-theta), sorted by position:
29.07 deg, rel. 88; 30.30 deg, rel. 71; 30.74 deg, rel. 100; 34.38 deg, rel. 76; 36.27 deg, rel. 70; 52.22 deg, rel. 78



Structure and computed powder diffraction line list of PaAlTc2 (a DFT-relaxed cell (PBE, the Materials Project); a wavelength of 1.5418 Å).
Intensities are scaled so that the largest is 100.

Cell and atoms:
a b c (Å): 6.518 6.518 6.518
angles (deg): 90.00 90.00 90.00
Fractional positions:
1 Pa 0.000 0.000 0.000
2 Pa 0.000 0.500 0.500
3 Pa 0.500 0.000 0.500
4 Pa 0.500 0.500 0.000
5 Al 0.000 0.000 0.500
6 Al 0.000 0.500 0.000
7 Al 0.500 0.000 0.000
8 Al 0.500 0.500 0.500
9 Tc 0.250 0.250 0.250
10 Tc 0.250 0.250 0.750
11 Tc 0.250 0.750 0.250
12 Tc 0.250 0.750 0.750
13 Tc 0.750 0.250 0.250
14 Tc 0.750 0.250 0.750
15 Tc 0.750 0.750 0.250
16 Tc 0.750 0.750 0.750

The 6 most intense peaks (15 to 90 degrees two-theta), sorted by position:
23.64 deg, rel. 46; 39.09 deg, rel. 100; 46.19 deg, rel. 24; 56.48 deg, rel. 17; 70.83 deg, rel. 35; 84.00 deg, rel. 11



Structure and computed powder diffraction line list of AlPb3 (a DFT-relaxed cell (PBE, the Materials Project); a wavelength of 1.5418 Å).
Intensities are scaled so that the largest is 100.

Cell and atoms:
a b c (Å): 4.823 4.823 10.042
angles (deg): 90.00 90.00 90.00
Fractional positions:
1 Al 0.000 0.000 0.000
2 Al 0.500 0.500 0.500
3 Pb 0.000 0.000 0.500
4 Pb 0.000 0.500 0.250
5 Pb 0.000 0.500 0.750
6 Pb 0.500 0.000 0.250
7 Pb 0.500 0.000 0.750
8 Pb 0.500 0.500 0.000

The 6 most intense peaks (15 to 90 degrees two-theta), sorted by position:
20.43 deg, rel. 22; 31.72 deg, rel. 100; 35.77 deg, rel. 18; 37.29 deg, rel. 33; 52.63 deg, rel. 25; 63.78 deg, rel. 28



Structure and computed powder diffraction line list of AlPb3 (a DFT-relaxed cell (PBE, the Materials Project); a wavelength of 1.5418 Å).
Intensities are scaled so that the largest is 100.

Cell and atoms:
a b c (Å): 6.942 6.942 5.592
angles (deg): 90.00 90.00 120.00
Fractional positions:
1 Al 0.333 0.667 0.250
2 Al 0.667 0.333 0.750
3 Pb 0.171 0.342 0.750
4 Pb 0.171 0.829 0.750
5 Pb 0.342 0.171 0.250
6 Pb 0.658 0.829 0.750
7 Pb 0.829 0.171 0.250
8 Pb 0.829 0.658 0.250

The 6 most intense peaks (15 to 90 degrees two-theta), sorted by position:
21.71 deg, rel. 26; 29.72 deg, rel. 23; 32.01 deg, rel. 26; 33.86 deg, rel. 100; 58.24 deg, rel. 22; 63.05 deg, rel. 23



Structure and computed powder diffraction line list of Al2PbS4 (a DFT-relaxed cell (PBE, the Materials Project); a wavelength of 1.5418 Å).
Intensities are scaled so that the largest is 100.

Cell and atoms:
a b c (Å): 6.063 6.063 10.614
angles (deg): 90.00 90.00 121.07
Fractional positions:
1 Al 0.238 0.760 0.000
2 Al 0.240 0.762 0.500
3 Al 0.760 0.238 0.500
4 Al 0.762 0.240 0.000
5 Pb 0.500 0.500 0.250
6 Pb 0.500 0.500 0.750
7 S 0.000 0.500 0.162
8 S 0.000 0.500 0.838
9 S 0.179 0.355 0.500
10 S 0.355 0.179 0.000
11 S 0.500 0.000 0.338
12 S 0.500 0.000 0.662
13 S 0.645 0.821 0.000
14 S 0.821 0.645 0.500

The 6 most intense peaks (15 to 90 degrees two-theta), sorted by position:
17.07 deg, rel. 100; 23.77 deg, rel. 42; 23.97 deg, rel. 87; 34.03 deg, rel. 52; 38.08 deg, rel. 44; 38.60 deg, rel. 63



Structure and computed powder diffraction line list of AlTc2Pb (a DFT-relaxed cell (PBE, the Materials Project); a wavelength of 1.5418 Å).
Intensities are scaled so that the largest is 100.

Cell and atoms:
a b c (Å): 6.505 6.505 6.505
angles (deg): 90.00 90.00 90.00
Fractional positions:
1 Al 0.000 0.000 0.000
2 Al 0.000 0.500 0.500
3 Al 0.500 0.000 0.500
4 Al 0.500 0.500 0.000
5 Tc 0.000 0.000 0.500
6 Tc 0.000 0.500 0.000
7 Tc 0.250 0.250 0.750
8 Tc 0.250 0.750 0.250
9 Tc 0.500 0.000 0.000
10 Tc 0.500 0.500 0.500
11 Tc 0.750 0.250 0.250
12 Tc 0.750 0.750 0.750
13 Pb 0.250 0.250 0.250
14 Pb 0.250 0.750 0.750
15 Pb 0.750 0.250 0.750
16 Pb 0.750 0.750 0.250

The 6 most intense peaks (15 to 90 degrees two-theta), sorted by position:
23.69 deg, rel. 20; 27.42 deg, rel. 21; 39.17 deg, rel. 100; 56.59 deg, rel. 17; 70.98 deg, rel. 35; 84.20 deg, rel. 11



Structure and computed powder diffraction line list of Zr5AlPb3 (a DFT-relaxed cell (PBE, the Materials Project); a wavelength of 1.5418 Å).
Intensities are scaled so that the largest is 100.

Cell and atoms:
a b c (Å): 8.875 8.875 5.981
angles (deg): 90.00 90.00 120.00
Fractional positions:
1 Zr 0.000 0.265 0.250
2 Zr 0.000 0.735 0.750
3 Zr 0.265 0.000 0.250
4 Zr 0.265 0.265 0.750
5 Zr 0.333 0.667 0.000
6 Zr 0.333 0.667 0.500
7 Zr 0.667 0.333 0.000
8 Zr 0.667 0.333 0.500
9 Zr 0.735 0.000 0.750
10 Zr 0.735 0.735 0.250
11 Al 0.000 0.000 0.000
12 Al 0.000 0.000 0.500
13 Pb 0.000 0.387 0.750
14 Pb 0.000 0.613 0.250
15 Pb 0.387 0.000 0.750
16 Pb 0.387 0.387 0.250
17 Pb 0.613 0.000 0.250
18 Pb 0.613 0.613 0.750

The 6 most intense peaks (15 to 90 degrees two-theta), sorted by position:
24.99 deg, rel. 45; 29.88 deg, rel. 33; 34.32 deg, rel. 100; 35.03 deg, rel. 87; 36.22 deg, rel. 94; 45.16 deg, rel. 46



Structure and computed powder diffraction line list of Al3Pd5 (a DFT-relaxed cell (PBE, the Materials Project); a wavelength of 1.5418 Å).
Intensities are scaled so that the largest is 100.

Cell and atoms:
a b c (Å): 5.446 10.650 4.075
angles (deg): 90.00 90.00 90.00
Fractional positions:
1 Al 0.000 0.000 0.000
2 Al 0.161 0.357 0.500
3 Al 0.339 0.857 0.500
4 Al 0.500 0.500 0.000
5 Al 0.661 0.143 0.500
6 Al 0.839 0.643 0.500
7 Pd 0.000 0.500 0.000
8 Pd 0.096 0.768 0.000
9 Pd 0.187 0.106 0.500
10 Pd 0.313 0.606 0.500
11 Pd 0.404 0.268 0.000
12 Pd 0.500 0.000 0.000
13 Pd 0.596 0.732 0.000
14 Pd 0.687 0.394 0.500
15 Pd 0.813 0.894 0.500
16 Pd 0.904 0.232 0.000

The 6 most intense peaks (15 to 90 degrees two-theta), sorted by position:
32.18 deg, rel. 36; 39.81 deg, rel. 48; 40.47 deg, rel. 100; 40.74 deg, rel. 68; 41.81 deg, rel. 35; 44.47 deg, rel. 45



Structure and computed powder diffraction line list of AlPd5 (a DFT-relaxed cell (PBE, the Materials Project); a wavelength of 1.5418 Å).
Intensities are scaled so that the largest is 100.

Cell and atoms:
a b c (Å): 10.895 4.067 8.216
angles (deg): 90.00 90.00 90.00
Fractional positions:
1 Al 0.078 0.250 0.112
2 Al 0.422 0.750 0.612
3 Al 0.578 0.250 0.388
4 Al 0.922 0.750 0.888
5 Pd 0.043 0.250 0.781
6 Pd 0.070 0.250 0.428
7 Pd 0.164 0.750 0.956
8 Pd 0.184 0.750 0.616
9 Pd 0.204 0.750 0.286
10 Pd 0.296 0.250 0.786
11 Pd 0.316 0.250 0.116
12 Pd 0.336 0.250 0.456
13 Pd 0.430 0.750 0.928
14 Pd 0.457 0.750 0.281
15 Pd 0.543 0.250 0.719
16 Pd 0.570 0.250 0.072
17 Pd 0.664 0.750 0.544
18 Pd 0.684 0.750 0.884
19 Pd 0.704 0.750 0.214
20 Pd 0.796 0.250 0.714
21 Pd 0.816 0.250 0.384
22 Pd 0.836 0.250 0.044
23 Pd 0.930 0.750 0.572
24 Pd 0.957 0.750 0.219

The 6 most intense peaks (15 to 90 degrees two-theta), sorted by position:
39.68 deg, rel. 90; 39.83 deg, rel. 100; 40.57 deg, rel. 32; 44.56 deg, rel. 42; 47.06 deg, rel. 42; 66.81 deg, rel. 29



Structure and computed powder diffraction line list of AlPd (a DFT-relaxed cell (PBE, the Materials Project); a wavelength of 1.5418 Å).
Intensities are scaled so that the largest is 100.

Cell and atoms:
a b c (Å): 3.078 3.078 3.078
angles (deg): 90.00 90.00 90.00
Fractional positions:
1 Al 0.000 0.000 0.000
2 Pd 0.500 0.500 0.500

The 6 most intense peaks (15 to 90 degrees two-theta), sorted by position:
29.01 deg, rel. 48; 41.50 deg, rel. 100; 51.43 deg, rel. 13; 60.13 deg, rel. 16; 68.13 deg, rel. 16; 75.70 deg, rel. 33



Structure and computed powder diffraction line list of Al21Pd8 (a DFT-relaxed cell (PBE, the Materials Project); a wavelength of 1.5418 Å).
Intensities are scaled so that the largest is 100.

Cell and atoms:
a b c (Å): 10.704 10.704 10.704
angles (deg): 104.68 104.68 119.55
Fractional positions:
1 Al 0.013 0.929 0.589
2 Al 0.065 0.672 0.286
3 Al 0.076 0.487 0.415
4 Al 0.076 0.805 0.084
5 Al 0.114 0.221 0.786
6 Al 0.140 0.883 0.822
7 Al 0.160 0.576 0.089
8 Al 0.172 0.386 0.607
9 Al 0.177 0.136 0.023
10 Al 0.182 0.360 0.243
11 Al 0.221 0.992 0.416
12 Al 0.279 0.565 0.893
13 Al 0.305 0.721 0.729
14 Al 0.346 0.323 0.459
15 Al 0.364 0.887 0.041
16 Al 0.375 0.125 0.250
17 Al 0.383 0.061 0.743
18 Al 0.387 0.846 0.523
19 Al 0.429 0.340 0.915
20 Al 0.439 0.682 0.322
21 Al 0.492 0.576 0.771
22 Al 0.508 0.424 0.229
23 Al 0.561 0.318 0.678
24 Al 0.571 0.660 0.085
25 Al 0.613 0.154 0.477
26 Al 0.617 0.939 0.257
27 Al 0.625 0.875 0.750
28 Al 0.636 0.113 0.959
29 Al 0.654 0.677 0.541
30 Al 0.695 0.279 0.271
31 Al 0.721 0.435 0.107
32 Al 0.779 0.008 0.584
33 Al 0.818 0.640 0.757
34 Al 0.823 0.864 0.977
35 Al 0.828 0.614 0.393
36 Al 0.840 0.424 0.911
37 Al 0.860 0.117 0.178
38 Al 0.886 0.779 0.214
39 Al 0.924 0.195 0.916
40 Al 0.924 0.513 0.585
41 Al 0.935 0.328 0.714
42 Al 0.987 0.071 0.411
43 Pd 0.068 0.632 0.864
44 Pd 0.089 0.063 0.213
45 Pd 0.132 0.768 0.564
46 Pd 0.268 0.204 0.636
47 Pd 0.296 0.432 0.064
48 Pd 0.350 0.877 0.287
49 Pd 0.377 0.589 0.526
50 Pd 0.437 0.150 0.026
51 Pd 0.563 0.850 0.974
52 Pd 0.623 0.411 0.474
53 Pd 0.650 0.123 0.713
54 Pd 0.704 0.568 0.936
55 Pd 0.732 0.796 0.364
56 Pd 0.868 0.232 0.436
57 Pd 0.911 0.937 0.787
58 Pd 0.932 0.368 0.136

The 6 most intense peaks (15 to 90 degrees two-theta), sorted by position:
25.38 deg, rel. 56; 25.92 deg, rel. 100; 27.20 deg, rel. 50; 42.76 deg, rel. 43; 44.82 deg, rel. 42; 45.18 deg, rel. 52